Theoretical PXRD pattern of CaCu3Pd4O12 for Cu Ka, from a crystal structure in Alexandria, relaxed with GGA-PBE.
Neutral-atom scattering factors, no anomalous dispersion.

Cell and atoms:
```
CaCu3Pd4O12
1.0
-3.7912 3.7912 3.7912
3.7912 -3.7912 3.7912
3.7912 3.7912 -3.7912
Ca Cu Pd O
1 3 4 12
Direct
0.0000 0.0000 0.0000
0.0000 0.5000 0.5000
0.5000 0.0000 0.5000
0.5000 0.5000 0.0000
0.0000 0.0000 0.5000
0.0000 0.5000 0.0000
0.5000 0.0000 0.0000
0.5000 0.5000 0.5000
0.1469 0.8363 0.3106
0.1637 0.3106 0.4742
0.1637 0.6894 0.8531
0.3106 0.1469 0.8363
0.3106 0.4742 0.1637
0.4742 0.1637 0.3106
0.5258 0.8363 0.6894
0.6894 0.5258 0.8363
0.6894 0.8531 0.1637
0.8363 0.3106 0.1469
0.8363 0.6894 0.5258
0.8531 0.1637 0.6894
```

Main lines, low angle first (10° ≤ 2θ ≤ 90°):
3.791 Å, rel. 12; 3.096 Å, rel. 2; 2.681 Å, rel. 100; 2.398 Å, rel. 3; 1.896 Å, rel. 23; 1.695 Å, rel. 7; 1.548 Å, rel. 47; 1.340 Å, rel. 12; 1.199 Å, rel. 17; 1.094 Å, rel. 4

***

Theoretical PXRD pattern of ThZn5Cu2Ag for Cu Ka, from a crystal structure in Alexandria, relaxed with GGA-PBE.
Neutral-atom scattering factors, no anomalous dispersion.

Cell and atoms:
```
ThZn5Cu2Ag
1.0
4.7116 0.0000 0.0000
0.0000 4.7116 0.0000
0.0000 0.0000 7.1665
Th Zn Cu Ag
1 5 2 1
Direct
0.0000 0.0000 0.0000
0.0000 0.5000 0.2905
0.0000 0.5000 0.7095
0.5000 0.0000 0.2905
0.5000 0.0000 0.7095
0.5000 0.5000 0.0000
0.5000 0.5000 0.3334
0.5000 0.5000 0.6666
0.0000 0.0000 0.5000
```

Main lines, low angle first (10° ≤ 2θ ≤ 90°):
3.332 Å, rel. 22; 2.852 Å, rel. 49; 2.440 Å, rel. 100; 2.389 Å, rel. 18; 2.356 Å, rel. 90; 1.816 Å, rel. 26; 1.677 Å, rel. 35; 1.666 Å, rel. 30; 1.376 Å, rel. 32; 1.366 Å, rel. 22

***

Question: What is the formula in the first record?
Answer: CaCu3Pd4O12